Calculated XRD peak list
Compound: Ca7PtN6
Radiation: a wavelength of 1.5418 Å
Structure: DFT lattice parameters and positions (GGA-PBE)
Neutral-atom scattering factors, no anomalous dispersion.

The 8 most intense peaks (2θ from 15° to 90°), most intense first:
| index | 2θ/deg | intensity |
| --- | --- | --- |
| 1 1 2 | 21.5 | 100 |
| 0 2 4 | 33.0 | 100 |
| 2 2 2 | 35.3 | 74 |
| 1 1 0 | 15.8 | 69 |
| 2 0 2 | 31.8 | 40 |
| 0 2 2 | 20.8 | 38 |
| 2 4 2 | 44.2 | 37 |
| 0 4 0 | 29.8 | 29 |

Cell and atoms:
Unit cell a=6.333 b=11.990 c=12.197 alpha=90.00 beta=90.00 gamma=90.00
Space group Ibam (No. 72)
Inequivalent atoms, fractional coordinates:
Ca1 0.000 0.000 0.250 x4
Ca2 0.134 0.282 0.131 x16
Ca3 0.224 0.048 0.000 x8
Pt1 0.000 0.500 0.250 x4
N1 0.109 0.144 0.500 x8
N2 0.196 0.377 0.307 x16